# 1
Diffraction record for La2CoO4. The X-ray diffraction stick pattern is theoretical, not measured: it uses a PBE+U-relaxed structure and Cu Kα.
Neutral-atom scattering factors, no anomalous dispersion.

The 10 most intense peaks (2θ = 10–90°), sorted by position:
2θ/deg	I_rel
23.51	21
28.45	9
31.08	100
32.64	26
42.64	26
43.84	11
45.72	25
55.33	15
56.32	9
57.26	13

Crystal structure
a = 6.847 Å, b = 6.847 Å, c = 5.748 Å
α = 90.00°, β = 90.00°, γ = 132.75°
Sites, in units of the cell vectors:
La (0.138, 0.862, 0.982)
La (0.362, 0.638, 0.482)
La (0.638, 0.362, 0.518)
La (0.862, 0.138, 0.018)
Co (0.000, 0.000, 0.500)
Co (0.500, 0.500, 0.000)
O (0.182, 0.818, 0.573)
O (0.231, 0.269, 0.750)
O (0.269, 0.231, 0.250)
O (0.318, 0.682, 0.073)
O (0.682, 0.318, 0.927)
O (0.731, 0.769, 0.750)
O (0.769, 0.731, 0.250)
O (0.818, 0.182, 0.427)

# 2
Diffraction record for Li2VF6. The X-ray diffraction stick pattern is theoretical, not measured: it uses a PBE+U-relaxed structure and Cu Kα.
Neutral-atom scattering factors, no anomalous dispersion.

The 10 most intense peaks (2θ = 10–90°), sorted by position:
2θ/deg	I_rel
20.03	51
20.50	100
20.63	38
20.81	47
22.03	42
28.68	31
38.90	15
40.00	22
40.88	21
41.40	19

Crystal structure
a = 8.565 Å, b = 8.708 Å, c = 10.210 Å
α = 86.23°, β = 85.61°, γ = 61.78°
Sites, in units of the cell vectors:
Li (0.000, 0.000, 0.000)
Li (0.004, 0.620, 0.903)
Li (0.188, 0.055, 0.481)
Li (0.280, 0.274, 0.966)
Li (0.310, 0.328, 0.402)
Li (0.344, 0.956, 0.204)
Li (0.537, 0.401, 0.892)
Li (0.592, 0.604, 0.369)
Li (0.652, 0.666, 0.711)
Li (0.702, 0.294, 0.501)
Li (0.842, 0.750, 0.191)
Li (0.947, 0.941, 0.660)
V (0.306, 0.616, 0.142)
V (0.309, 0.613, 0.644)
V (0.635, 0.957, 0.929)
V (0.646, 0.952, 0.437)
V (0.979, 0.290, 0.226)
V (0.983, 0.286, 0.730)
F (0.040, 0.078, 0.828)
F (0.067, 0.375, 0.858)
F (0.077, 0.068, 0.319)
F (0.080, 0.352, 0.354)
F (0.086, 0.695, 0.225)
F (0.089, 0.706, 0.744)
F (0.188, 0.206, 0.624)
F (0.204, 0.194, 0.127)
F (0.216, 0.841, 0.564)
F (0.224, 0.841, 0.056)
F (0.228, 0.522, 0.007)
F (0.238, 0.528, 0.518)
F (0.384, 0.410, 0.246)
F (0.396, 0.713, 0.264)
F (0.397, 0.403, 0.746)
F (0.406, 0.032, 0.374)
F (0.408, 0.036, 0.880)
F (0.419, 0.680, 0.762)
F (0.515, 0.536, 0.043)
F (0.536, 0.533, 0.540)
F (0.552, 0.189, 0.985)
F (0.555, 0.187, 0.487)
F (0.573, 0.869, 0.587)
F (0.578, 0.883, 0.093)
F (0.721, 0.003, 0.278)
F (0.721, 0.728, 0.361)
F (0.729, 0.730, 0.861)
F (0.730, 0.018, 0.780)
F (0.756, 0.371, 0.814)
F (0.762, 0.370, 0.332)
F (0.859, 0.889, 0.512)
F (0.875, 0.860, 0.001)
F (0.886, 0.499, 0.637)
F (0.895, 0.207, 0.105)
F (0.901, 0.511, 0.141)
F (0.906, 0.181, 0.599)

# 3
Diffraction record for Li4Ni3BiO8. The X-ray diffraction stick pattern is theoretical, not measured: it uses a PBE+U-relaxed structure and Cu Kα.
Neutral-atom scattering factors, no anomalous dispersion.

The 10 most intense peaks (2θ = 10–90°), sorted by position:
2θ/deg	I_rel
17.89	35
17.99	100
20.68	17
34.62	65
36.23	29
42.07	44
42.29	22
46.23	16
61.00	27
64.08	16

Crystal structure
a = 6.044 Å, b = 6.044 Å, c = 10.522 Å
α = 106.55°, β = 106.55°, γ = 60.39°
Sites, in units of the cell vectors:
Li (0.000, 0.000, 0.000)
Li (0.000, 0.000, 0.500)
Li (0.248, 0.750, 0.249)
Li (0.250, 0.749, 0.749)
Li (0.499, 0.499, 0.501)
Li (0.500, 0.500, 0.000)
Li (0.749, 0.250, 0.749)
Li (0.750, 0.248, 0.249)
Ni (0.000, 0.500, 0.999)
Ni (0.249, 0.249, 0.750)
Ni (0.500, 0.000, 0.999)
Ni (0.500, 0.999, 0.499)
Ni (0.750, 0.750, 0.250)
Ni (0.999, 0.500, 0.499)
Bi (0.250, 0.250, 0.249)
Bi (0.750, 0.750, 0.749)
O (0.119, 0.623, 0.372)
O (0.123, 0.619, 0.872)
O (0.131, 0.131, 0.378)
O (0.142, 0.142, 0.873)
O (0.356, 0.356, 0.627)
O (0.369, 0.369, 0.121)
O (0.376, 0.880, 0.627)
O (0.381, 0.876, 0.127)
O (0.619, 0.123, 0.872)
O (0.623, 0.119, 0.372)
O (0.631, 0.631, 0.878)
O (0.642, 0.642, 0.373)
O (0.856, 0.856, 0.127)
O (0.869, 0.869, 0.620)
O (0.876, 0.381, 0.127)
O (0.880, 0.376, 0.627)

# 4
Diffraction record for Y2MgCr3O9. The X-ray diffraction stick pattern is theoretical, not measured: it uses a PBE+U-relaxed structure and Cu Kα.
Neutral-atom scattering factors, no anomalous dispersion.

The 10 most intense peaks (2θ = 10–90°), sorted by position:
2θ/deg	I_rel
15.08	20
27.94	16
32.82	100
33.30	51
40.69	18
46.38	20
47.81	44
58.28	16
59.20	35
68.81	21

Crystal structure
a = 3.805 Å, b = 3.805 Å, c = 11.747 Å
α = 90.00°, β = 90.00°, γ = 90.00°
Sites, in units of the cell vectors:
Y (0.000, 0.000, 0.184)
Y (0.000, 0.000, 0.816)
Mg (0.000, 0.000, 0.500)
Cr (0.500, 0.500, 0.000)
Cr (0.500, 0.500, 0.335)
Cr (0.500, 0.500, 0.665)
O (0.000, 0.500, 0.000)
O (0.000, 0.500, 0.318)
O (0.000, 0.500, 0.682)
O (0.500, 0.000, 0.000)
O (0.500, 0.000, 0.318)
O (0.500, 0.000, 0.682)
O (0.500, 0.500, 0.164)
O (0.500, 0.500, 0.500)
O (0.500, 0.500, 0.836)